Entry 1:
Calculated X-ray diffraction stick pattern of SrPb2WO6 for Cu Ka, from a DFT-relaxed cell (PBE+U, Alexandria).
Peak positions follow from Bragg's law for the DFT cell and can differ from measured ones.

Structure:
```
SrPb2WO6
1.0
5.771 0.000 0.000
0.000 6.372 0.000
-5.636 0.000 8.589
Sr Pb W O
2 4 2 12
Cartesian
0.000 0.000 0.000 Sr
-2.818 3.186 4.294 Sr
-2.817 0.292 6.257 Pb
0.001 2.894 1.963 Pb
0.135 3.478 6.626 Pb
2.953 6.080 2.332 Pb
0.068 0.000 4.294 W
2.886 3.186 0.000 W
-1.612 1.023 4.071 O
-4.430 2.163 8.366 O
-0.896 4.769 3.725 O
-3.714 4.789 8.019 O
0.581 0.370 2.421 O
-2.237 2.815 6.715 O
2.373 3.556 1.873 O
-0.445 6.001 6.168 O
3.850 1.583 0.570 O
1.032 1.603 4.864 O
4.566 4.209 0.223 O
1.748 5.348 4.518 O
```

Peak list (10 most intense, 10° ≤ 2θ ≤ 90°, in order of rising 2θ)
- (0 1 1), 2θ = 17.33°, intensity 27
- (0 2 0), 2θ = 28.01°, intensity 51
- (1 1 1), 2θ = 29.30°, intensity 100
- (1 1 -3), 2θ = 29.65°, intensity 98
- (2 0 -2), 2θ = 30.99°, intensity 47
- (0 0 4), 2θ = 42.08°, intensity 22
- (2 2 -2), 2θ = 42.26°, intensity 42
- (0 2 4), 2θ = 51.31°, intensity 19
- (3 1 -1), 2θ = 53.87°, intensity 22
- (3 1 -5), 2θ = 54.52°, intensity 22



Entry 2:
Calculated X-ray diffraction stick pattern of Sr2PbWO6 for Cu Ka, from a DFT-relaxed cell (PBE+U, Alexandria).
Peak positions follow from Bragg's law for the DFT cell and can differ from measured ones.

Structure:
```
Sr2PbWO6
1.0
5.871 0.000 0.000
0.000 5.871 0.000
0.000 0.000 5.342
Sr Pb W O
2 1 1 6
Cartesian
0.000 2.936 0.000 Sr
2.936 0.000 0.000 Sr
0.000 0.000 2.976 Pb
2.936 2.936 3.326 W
0.000 0.000 0.769 O
1.651 1.651 3.929 O
1.651 4.220 3.929 O
2.936 2.936 1.492 O
4.220 1.651 3.929 O
4.220 4.220 3.929 O
```

Peak list (10 most intense, 10° ≤ 2θ ≤ 90°, in order of rising 2θ)
- (0 0 1), 2θ = 16.59°, intensity 23
- (1 1 0), 2θ = 21.40°, intensity 20
- (1 1 1), 2θ = 27.20°, intensity 100
- (2 0 0), 2θ = 30.45°, intensity 40
- (1 1 2), 2θ = 40.14°, intensity 14
- (2 2 0), 2θ = 43.60°, intensity 22
- (2 0 2), 2θ = 45.93°, intensity 22
- (3 1 1), 2θ = 52.15°, intensity 34
- (2 2 2), 2θ = 56.15°, intensity 16
- (2 0 3), 2θ = 60.79°, intensity 15